[1]
Theoretical XRD peak list
Compound: Cr3B4
Radiation: λ = 1.5418 Å (Cu Kα)
Structure: DFT lattice parameters and positions (GGA-PBE)
Peak positions follow from Bragg's law for the DFT cell and can differ from measured ones.

Crystal structure
```
data_Cr3B4
_symmetry_space_group_name_H-M 'I m m m'
_symmetry_Int_Tables_number 71
_symmetry_space_group_name_Hall '-I 2 2'
_cell_length_a 2.916
_cell_length_b 2.936
_cell_length_c 13.043
_cell_angle_alpha 90.00
_cell_angle_beta 90.00
_cell_angle_gamma 90.00
loop_
_atom_site_label
_atom_site_type_symbol
_atom_site_fract_x
_atom_site_fract_y
_atom_site_fract_z
Cr1 Cr 0.000 0.000 0.000
Cr2 Cr 0.000 0.500 0.186
B1 B 0.000 0.000 0.434
B2 B 0.000 0.500 0.360
```

Top 10 peaks for 2θ = 10–90°, by intensity:
hkl, 2theta, Rel. int.
1 1 2, 46.02, 100.0
0 1 3, 36.94, 91.9
1 0 5, 46.72, 63.5
1 0 1, 31.44, 38.9
0 0 6, 41.54, 29.6
1 2 5, 82.30, 20.2
1 1 8, 74.03, 19.2
2 1 3, 76.11, 17.8
1 1 4, 52.37, 16.1
0 2 0, 63.35, 15.5

---

[2]
Theoretical XRD peak list
Compound: Cr2B
Radiation: λ = 1.5418 Å (Cu Kα)
Structure: DFT lattice parameters and positions (GGA-PBE)
Peak positions follow from Bragg's law for the DFT cell and can differ from measured ones.

Crystal structure
```
data_Cr2B
_symmetry_space_group_name_H-M 'F d d d'
_symmetry_Int_Tables_number 70
_cell_length_a 4.211
_cell_length_b 7.347
_cell_length_c 14.562
_cell_angle_alpha 90.00
_cell_angle_beta 90.00
_cell_angle_gamma 90.00
loop_
_symmetry_equiv_pos_as_xyz
'x,y,z'
'-x,-y,-z'
'-x+1/4,-y+1/4,z'
'x+1/4,y+1/4,-z'
'x,-y+1/4,-z+1/4'
'-x,y+1/4,z+1/4'
'-x+1/4,y,-z+1/4'
'x+1/4,-y,z+1/4'
'x,y+1/2,z+1/2'
'-x,-y+1/2,-z+1/2'
'-x+1/4,-y+3/4,z+1/2'
'x+1/4,y+3/4,-z+1/2'
'x,-y+3/4,-z+3/4'
'-x,y+3/4,z+3/4'
'-x+1/4,y+1/2,-z+3/4'
'x+1/4,-y+1/2,z+3/4'
'x+1/2,y,z+1/2'
'-x+1/2,-y,-z+1/2'
'-x+3/4,-y+1/4,z+1/2'
'x+3/4,y+1/4,-z+1/2'
'x+1/2,-y+1/4,-z+3/4'
'-x+1/2,y+1/4,z+3/4'
'-x+3/4,y,-z+3/4'
'x+3/4,-y,z+3/4'
'x+1/2,y+1/2,z'
'-x+1/2,-y+1/2,-z'
'-x+3/4,-y+3/4,z'
'x+3/4,y+3/4,-z'
'x+1/2,-y+3/4,-z+1/4'
'-x+1/2,y+3/4,z+1/4'
'-x+3/4,y+1/2,-z+1/4'
'x+3/4,-y+1/2,z+1/4'
loop_
_atom_site_label
_atom_site_type_symbol
_atom_site_fract_x
_atom_site_fract_y
_atom_site_fract_z
Cr1 Cr 0.125 0.125 0.042
Cr2 Cr 0.125 0.289 0.625
B1 B 0.125 0.125 0.499
```

Top 10 peaks for 2θ = 10–90°, by intensity:
hkl, 2theta, Rel. int.
2 0 2, 44.78, 100.0
1 3 1, 43.18, 79.4
1 1 5, 39.57, 54.1
1 1 7, 50.48, 33.6
2 2 4, 56.35, 25.5
1 3 3, 46.82, 23.8
0 0 12, 78.87, 17.1
2 4 6, 79.76, 16.2
0 4 4, 56.08, 14.7
1 1 3, 30.63, 10.8

---

[3]
Theoretical XRD peak list
Compound: Cr5B3
Radiation: λ = 1.5418 Å (Cu Kα)
Structure: DFT lattice parameters and positions (GGA-PBE)
Peak positions follow from Bragg's law for the DFT cell and can differ from measured ones.

Crystal structure
```
data_Cr5B3
_symmetry_space_group_name_H-M 'I 4/m c m'
_symmetry_Int_Tables_number 140
_symmetry_space_group_name_Hall '-I 4 2c'
_cell_length_a 5.434
_cell_length_b 5.434
_cell_length_c 9.941
_cell_angle_alpha 90.00
_cell_angle_beta 90.00
_cell_angle_gamma 90.00
loop_
_atom_site_label
_atom_site_type_symbol
_atom_site_fract_x
_atom_site_fract_y
_atom_site_fract_z
Cr1 Cr 0.000 0.000 0.000
Cr2 Cr 0.171 0.329 0.146
B1 B 0.000 0.000 0.250
B2 B 0.118 0.382 0.500
```

Top 10 peaks for 2θ = 10–90°, by intensity:
hkl, 2theta, Rel. int.
2 1 3, 46.33, 100.0
2 1 1, 38.12, 55.3
2 0 4, 49.72, 43.7
3 1 0, 53.31, 36.7
2 0 2, 37.73, 23.8
1 1 4, 43.36, 22.8
1 1 2, 29.38, 18.7
4 1 3, 78.03, 18.5
3 3 4, 85.24, 16.6
2 1 7, 77.92, 15.8

---

[4]
Theoretical XRD peak list
Compound: CrCuBSe2
Radiation: λ = 1.5418 Å (Cu Kα)
Structure: DFT lattice parameters and positions (GGA-PBE)
Peak positions follow from Bragg's law for the DFT cell and can differ from measured ones.

Crystal structure
```
data_CrCuBSe2
_symmetry_space_group_name_H-M 'P 4/m m m'
_symmetry_Int_Tables_number 123
_symmetry_space_group_name_Hall '-P 4 2'
_cell_length_a 4.763
_cell_length_b 4.763
_cell_length_c 3.924
_cell_angle_alpha 90.00
_cell_angle_beta 90.00
_cell_angle_gamma 90.00
loop_
_atom_site_label
_atom_site_type_symbol
_atom_site_fract_x
_atom_site_fract_y
_atom_site_fract_z
Cr1 Cr 0.000 0.000 0.000
Cu1 Cu 0.500 0.500 0.500
B1 B 0.000 0.000 0.500
Se1 Se 0.000 0.500 0.000
```

Top 10 peaks for 2θ = 10–90°, by intensity:
hkl, 2theta, Rel. int.
2 0 0, 37.77, 100.0
1 1 1, 35.11, 97.4
1 0 1, 29.49, 62.1
2 0 2, 61.21, 45.2
0 0 1, 22.66, 42.1
2 2 0, 54.49, 32.7
2 1 1, 48.63, 29.4
3 1 1, 66.49, 29.3
0 0 2, 46.27, 27.3
2 0 1, 44.50, 27.2

---

[5]
Theoretical XRD peak list
Compound: DyCrB14
Radiation: λ = 1.5418 Å (Cu Kα)
Structure: DFT lattice parameters and positions (GGA-PBE)
Peak positions follow from Bragg's law for the DFT cell and can differ from measured ones.

Crystal structure
```
data_DyCrB14
_symmetry_space_group_name_H-M 'I m m a'
_symmetry_Int_Tables_number 74
_symmetry_space_group_name_Hall '-I 2b 2'
_cell_length_a 5.850
_cell_length_b 10.691
_cell_length_c 8.199
_cell_angle_alpha 90.00
_cell_angle_beta 90.00
_cell_angle_gamma 90.00
loop_
_atom_site_label
_atom_site_type_symbol
_atom_site_fract_x
_atom_site_fract_y
_atom_site_fract_z
Dy1 Dy 0.000 0.250 0.128
Cr1 Cr 0.250 0.250 0.750
B1 B 0.000 0.084 0.671
B2 B 0.000 0.129 0.870
B3 B 0.000 0.167 0.469
B4 B 0.160 0.063 0.338
B5 B 0.248 0.078 0.548
```

Top 10 peaks for 2θ = 10–90°, by intensity:
hkl, 2theta, Rel. int.
0 2 0, 16.58, 100.0
1 1 2, 27.85, 86.5
0 4 0, 33.58, 83.2
1 2 1, 25.04, 73.2
1 3 2, 36.78, 60.3
2 3 1, 41.44, 60.1
1 0 1, 18.63, 38.8
1 2 3, 40.13, 34.2
0 1 3, 33.85, 29.3
0 1 1, 13.61, 27.5

---

[6]
Theoretical XRD peak list
Compound: ErCrB14
Radiation: λ = 1.5418 Å (Cu Kα)
Structure: DFT lattice parameters and positions (GGA-PBE)
Peak positions follow from Bragg's law for the DFT cell and can differ from measured ones.

Crystal structure
```
data_ErCrB14
_symmetry_space_group_name_H-M 'I m m a'
_symmetry_Int_Tables_number 74
_symmetry_space_group_name_Hall '-I 2b 2'
_cell_length_a 5.846
_cell_length_b 10.658
_cell_length_c 8.178
_cell_angle_alpha 90.00
_cell_angle_beta 90.00
_cell_angle_gamma 90.00
loop_
_atom_site_label
_atom_site_type_symbol
_atom_site_fract_x
_atom_site_fract_y
_atom_site_fract_z
Er1 Er 0.000 0.250 0.128
Cr1 Cr 0.250 0.250 0.750
B1 B 0.000 0.084 0.671
B2 B 0.000 0.129 0.871
B3 B 0.000 0.167 0.469
B4 B 0.160 0.064 0.338
B5 B 0.248 0.079 0.548
```

Top 10 peaks for 2θ = 10–90°, by intensity:
hkl, 2theta, Rel. int.
0 2 0, 16.64, 100.0
1 1 2, 27.91, 86.8
0 4 0, 33.63, 82.0
1 2 1, 25.10, 72.5
1 3 2, 36.87, 59.7
2 3 1, 41.51, 58.2
1 0 1, 18.66, 39.4
1 2 3, 40.23, 34.0
0 1 1, 13.65, 30.0
0 1 3, 33.94, 28.3